Structure and computed X-ray powder pattern of TaNb2Mo6W3 (a DFT-relaxed cell (PBE, Alexandria); Cu Kα).

Peak list (6 most intense, 2θ = 10–80°, by angle)
h k l	Position (°2θ)	I/Imax
2 0 0	27.88	6
1 3 1	39.84	100
2 6 -2	57.56	11
4 0 0	57.72	6
2 0 2	72.30	26
4 6 0	72.42	8

Structure:
```
data_TaNb2Mo6W3
_chemical_formula_sum 'Ta2 Nb4 Mo12 W6'
_space_group_name_H-M_alt 'C 1 2/m 1'
_space_group_IT_number 12
_cell_length_a 7.826
_cell_length_b 13.587
_cell_length_c 4.529
_cell_angle_alpha 90.00
_cell_angle_beta 125.28
_cell_angle_gamma 90.00
loop_
_space_group_symop_operation_xyz
'x,y,z'
'-x,-y,-z'
'-x,y,-z'
'x,-y,z'
'x+1/2,y+1/2,z'
'-x+1/2,-y+1/2,-z'
'-x+1/2,y+1/2,-z'
'x+1/2,-y+1/2,z'
loop_
_atom_site_label
_atom_site_type_symbol
_atom_site_fract_x
_atom_site_fract_y
_atom_site_fract_z
Ta1 Ta 0.000 0.000 0.000
Nb1 Nb 0.000 0.333 0.000
Mo1 Mo 0.250 0.000 0.750
Mo2 Mo 0.250 0.167 0.250
W1 W 0.000 0.166 0.500
W2 W 0.000 0.500 0.500
```